Diffraction record for Ca2CoIrO6. The X-ray diffraction stick pattern is computed, not measured: it uses a DFT-relaxed cell (PBE+U, Alexandria) and Cu Kα X-rays.
Neutral-atom scattering factors, no anomalous dispersion.

Structural model:
```
data_Ca2CoIrO6
_cell_length_a 5.422
_cell_length_b 5.632
_cell_length_c 9.431
_cell_angle_alpha 90.00
_cell_angle_beta 124.84
_cell_angle_gamma 90.00
_symmetry_space_group_name_H-M 'P 1 21/c 1'
_symmetry_Int_Tables_number 14
loop_
_symmetry_equiv_pos_as_xyz
'x,y,z'
'-x,-y,-z'
'-x,y+1/2,-z+1/2'
'x,-y+1/2,z+1/2'
loop_
_atom_site_label
_atom_site_type_symbol
_atom_site_fract_x
_atom_site_fract_y
_atom_site_fract_z
_atom_site_occupancy
Ca1 Ca 0.233 0.060 0.248 1
Co1 Co 0.000 0.000 0.500 1
Ir1 Ir 0.500 0.000 0.000 1
O1 O 0.160 0.193 0.954 1
O2 O 0.259 0.710 0.949 1
O3 O 0.350 0.029 0.756 1
```

Peak list (8 most intense, 10° ≤ 2θ ≤ 90°, by angle)
2theta  intensity
19.49  65
20.00  59
22.77  100
22.98  46
31.78  49
32.52  96
32.62  96
46.50  52